Starting from a crystal structure in Alexandria, relaxed with GGA-PBE, the powder X-ray diffraction pattern of Tb4Co10Si was simulated for Cu Kα (λ = 1.5418 Å).

Cell and atoms:
a b c (Å): 14.7025 14.7025 4.8166
angles (deg): 90.00 90.00 90.00
Space group I4_1/amd (No. 141, origin choice 2)
Unique sites:
Tb (0.0000, 0.1042, 0.0195)
Co (0.0000, 0.0000, 0.5000)
Co (0.1491, 0.0071, 0.7406)
Si (0.0000, 0.2500, 0.3750)

Main lines, in order of rising 2θ (2θ from 10° to 90°):
two_theta  intensity
19.4  36.7
25.9  25.6
31.2  83.9
34.5  65.2
35.8  44.3
36.7  23.7
43.7  32.8
45.0  100.0
49.6  32.2
69.2  24.8

Starting from a crystal structure in Alexandria, relaxed with GGA-PBE, the powder X-ray diffraction pattern of Tb2Co5Si4 was simulated for Cu Kα (λ = 1.5418 Å).

Cell and atoms:
a b c (Å): 5.3276 9.1522 13.1565
angles (deg): 90.00 90.00 90.00
Space group Fmmm (No. 69)
Unique sites:
Tb (0.0000, 0.0000, 0.1325)
Co (0.0000, 0.0000, 0.5000)
Co (0.2500, 0.2500, 0.0000)
Co (0.2500, 0.2500, 0.2500)
Si (0.0000, 0.1535, 0.3685)

Main lines, in order of rising 2θ (2θ from 10° to 90°):
two_theta  intensity
20.4  29.4
28.1  91.5
33.6  100.0
34.6  39.2
39.1  94.6
39.4  59.1
39.8  84.6
43.7  73.7
60.3  25.5
70.4  29.1

Starting from a crystal structure in Alexandria, relaxed with GGA-PBE, the powder X-ray diffraction pattern of Co2SiTc was simulated for Cu Kα (λ = 1.5418 Å).

Cell and atoms:
a b c (Å): 2.9505 3.9931 7.9525
angles (deg): 90.00 90.00 90.00
Space group Immm (No. 71)
Unique sites:
Co (0.0000, 0.0000, 0.2319)
Si (0.0000, 0.5000, 0.5000)
Tc (0.0000, 0.5000, 0.0000)

Main lines, in order of rising 2θ (2θ from 10° to 90°):
two_theta  intensity
25.0  12.7
32.4  14.7
40.9  13.4
44.5  100.0
45.4  24.0
45.6  21.4
63.0  8.6
66.4  13.2
83.3  14.7
83.6  12.0

Starting from a crystal structure in Alexandria, relaxed with GGA-PBE, the powder X-ray diffraction pattern of Th2Co12Si7 was simulated for Cu Kα (λ = 1.5418 Å).

Cell and atoms:
a b c (Å): 9.2074 9.2074 3.7090
angles (deg): 90.00 90.00 120.00
Space group P-6 (No. 174)
Unique sites:
Th (0.0000, 0.0000, 0.0000)
Th (0.3333, 0.6667, 0.5000)
Co (0.0420, 0.2767, 0.5000)
Co (0.1078, 0.7122, 0.0000)
Co (0.3906, 0.1902, 0.0000)
Co (0.5512, 0.4416, 0.5000)
Si (0.0543, 0.4360, 0.0000)
Si (0.2752, 0.2380, 0.5000)
Si (0.6667, 0.3333, 0.0000)

Main lines, in order of rising 2θ (2θ from 10° to 90°):
two_theta  intensity
11.1  11.2
19.3  14.4
26.5  22.9
29.6  14.1
33.7  14.1
38.5  100.0
39.1  13.1
49.1  15.1
52.6  15.1
56.1  14.1

Starting from a crystal structure in Alexandria, relaxed with GGA-PBE, the powder X-ray diffraction pattern of Th4Co10Si was simulated for Cu Kα (λ = 1.5418 Å).

Cell and atoms:
a b c (Å): 8.8040 8.8040 13.1193
angles (deg): 90.00 90.00 90.00
Space group I4_1/amd (No. 141, origin choice 2)
Unique sites:
Th (0.0000, 0.0441, 0.1264)
Co (0.0000, 0.0000, 0.5000)
Co (0.1338, 0.0126, 0.3030)
Si (0.0000, 0.2500, 0.3750)

Main lines, in order of rising 2θ (2θ from 10° to 90°):
two_theta  intensity
23.6  64.6
27.2  40.5
28.7  100.0
30.6  49.3
31.2  86.8
36.9  86.9
39.9  50.4
41.4  82.5
45.9  49.5
60.5  45.4

Starting from a crystal structure in Alexandria, relaxed with GGA-PBE, the powder X-ray diffraction pattern of Th2Co2Si was simulated for Cu Kα (λ = 1.5418 Å).

Cell and atoms:
a b c (Å): 11.2354 3.9044 10.3478
angles (deg): 90.00 118.57 90.00
Space group C2/m (No. 12)
Unique sites:
Th (0.0964, 0.0000, 0.4063)
Th (0.1975, 0.5000, 0.1544)
Co (0.0529, 0.0000, 0.9243)
Co (0.1243, 0.5000, 0.6226)
Si (0.0802, 0.5000, 0.8249)

Main lines, in order of rising 2θ (2θ from 10° to 90°):
two_theta  intensity
24.3  29.8
24.8  30.6
26.1  42.1
28.6  29.0
31.9  52.2
33.3  66.8
34.2  100.0
39.7  22.0
42.8  45.5
46.5  29.3

Starting from a crystal structure in Alexandria, relaxed with GGA-PBE, the powder X-ray diffraction pattern of TmCo3Si3 was simulated for Cu Kα (λ = 1.5418 Å).

Cell and atoms:
a b c (Å): 6.1992 6.1992 19.4339
angles (deg): 90.00 90.00 120.00
Space group R-3 (No. 148, hexagonal axes)
Unique sites:
Tm (0.0000, 0.0000, 0.1692)
Co (0.0337, 0.2906, 0.7106)
Si (0.0296, 0.2742, 0.5931)

Main lines, in order of rising 2θ (2θ from 10° to 90°):
two_theta  intensity
17.1  19.1
18.9  37.0
32.0  100.0
40.3  54.8
40.8  19.5
41.8  19.3
44.9  25.6
51.0  22.9
51.6  12.3
68.0  14.6

Starting from a crystal structure in Alexandria, relaxed with GGA-PBE, the powder X-ray diffraction pattern of Tm2Co2Si3 was simulated for Cu Kα (λ = 1.5418 Å).

Cell and atoms:
a b c (Å): 3.9829 16.9729 6.5997
angles (deg): 90.00 90.00 90.00
Space group Cmcm (No. 63)
Unique sites:
Tm (0.0000, 0.0544, 0.2500)
Tm (0.0000, 0.1599, 0.7500)
Co (0.0000, 0.3065, 0.5555)
Si (0.0000, 0.2233, 0.2500)
Si (0.0000, 0.4353, 0.0671)

Main lines, in order of rising 2θ (2θ from 10° to 90°):
two_theta  intensity
22.9  29.2
24.9  43.6
27.0  21.8
30.6  23.7
34.5  26.6
35.7  83.1
37.4  100.0
45.6  30.0
46.5  36.2
67.1  23.7